(1)
# CaMg2Hg7
Simulated X-ray powder pattern, Cu Ka. Input: a DFT-relaxed cell (PBE, Alexandria).
Kinematic intensities with the Lorentz-polarization factor, no thermal factor.

Structural model:
```
data_CaMg2Hg7
_chemical_formula_sum 'Ca1 Mg2 Hg7'
_symmetry_space_group_name_H-M 'P 3 m 1'
_symmetry_Int_Tables_number 156
_symmetry_space_group_name_Hall 'P 3 -2"'
_cell_length_a 4.9606
_cell_length_b 4.9606
_cell_length_c 11.7467
_cell_angle_alpha 90.00
_cell_angle_beta 90.00
_cell_angle_gamma 120.00
loop_
_atom_site_label
_atom_site_fract_x
_atom_site_fract_y
_atom_site_fract_z
_atom_site_occupancy
Ca1 0.0000 0.0000 0.0000 1
Mg1 0.3333 0.6667 0.6414 1
Mg2 0.6667 0.3333 0.4890 1
Hg1 0.0000 0.0000 0.3033 1
Hg2 0.0000 0.0000 0.6070 1
Hg3 0.3333 0.6667 0.1281 1
Hg4 0.3333 0.6667 0.4019 1
Hg5 0.3333 0.6667 0.8747 1
Hg6 0.6667 0.3333 0.1780 1
Hg7 0.6667 0.3333 0.7754 1
```

The 6 most intense peaks (2θ = 10–90°), low angle first:
2θ/deg  I (rel.)  h k l
22.0  26  1 0 1
25.7  32  1 0 2
30.9  71  0 1 3
36.2  100  1 1 0
37.1  49  0 1 4
48.3  21  2 0 3

---

(2)
# Ca4Mg5Hg6
Simulated X-ray powder pattern, Cu Ka. Input: a DFT-relaxed cell (PBE, Alexandria).
Kinematic intensities with the Lorentz-polarization factor, no thermal factor.

Structural model:
```
data_Ca4Mg5Hg6
_chemical_formula_sum 'Ca16 Mg20 Hg24'
_symmetry_space_group_name_H-M 'C m c 21'
_symmetry_Int_Tables_number 36
_symmetry_space_group_name_Hall 'C 2c -2'
_cell_length_a 4.656
_cell_length_b 22.498
_cell_length_c 14.935
_cell_angle_alpha 90.00
_cell_angle_beta 90.00
_cell_angle_gamma 90.00
loop_
_atom_site_label
_atom_site_fract_x
_atom_site_fract_y
_atom_site_fract_z
_atom_site_occupancy
Ca1 0.000 0.038 0.000 1
Ca2 0.000 0.051 0.271 1
Ca3 0.000 0.137 0.778 1
Ca4 0.000 0.180 0.437 1
Mg1 0.000 0.179 0.121 1
Mg2 0.000 0.317 0.773 1
Mg3 0.000 0.326 0.102 1
Mg4 0.000 0.343 0.456 1
Mg5 0.000 0.468 0.149 1
Hg1 0.000 0.089 0.587 1
Hg2 0.000 0.232 0.944 1
Hg3 0.000 0.265 0.271 1
Hg4 0.000 0.403 0.628 1
Hg5 0.000 0.419 0.929 1
Hg6 0.000 0.453 0.346 1
```

The 6 most intense peaks (2θ = 10–90°), low angle first:
2θ/deg  I (rel.)  h k l
23.3  74  1 3 1
23.7  53  0 6 0
26.5  87  1 1 3
33.0  100  1 5 3
38.5  60  1 7 3
38.7  57  2 0 0

---

(3)
# Ca2Mg2Hg3
Simulated X-ray powder pattern, Cu Ka. Input: a DFT-relaxed cell (PBE, Alexandria).
Kinematic intensities with the Lorentz-polarization factor, no thermal factor.

Structural model:
```
data_Ca2Mg2Hg3
_chemical_formula_sum 'Ca4 Mg4 Hg6'
_symmetry_space_group_name_H-M 'C m m m'
_symmetry_Int_Tables_number 65
_symmetry_space_group_name_Hall '-C 2 2'
_cell_length_a 3.727
_cell_length_b 26.970
_cell_length_c 3.575
_cell_angle_alpha 90.00
_cell_angle_beta 90.00
_cell_angle_gamma 90.00
loop_
_atom_site_label
_atom_site_fract_x
_atom_site_fract_y
_atom_site_fract_z
_atom_site_occupancy
Ca1 0.000 0.073 0.000 1
Mg1 0.000 0.204 0.000 1
Hg1 0.000 0.353 0.500 1
Hg2 0.000 0.500 0.500 1
```

The 6 most intense peaks (2θ = 10–90°), low angle first:
2θ/deg  I (rel.)  h k l
19.8  61  0 6 0
24.1  52  1 1 0
32.0  69  0 6 1
33.5  100  1 7 0
34.9  96  1 1 1
42.2  44  1 7 1

---

(4)
# CaMg2Hg5
Simulated X-ray powder pattern, Cu Ka. Input: a DFT-relaxed cell (PBE, Alexandria).
Kinematic intensities with the Lorentz-polarization factor, no thermal factor.

Structural model:
```
data_CaMg2Hg5
_chemical_formula_sum 'Ca2 Mg4 Hg10'
_symmetry_space_group_name_H-M 'I 4/m m m'
_symmetry_Int_Tables_number 139
_symmetry_space_group_name_Hall '-I 4 2'
_cell_length_a 4.754
_cell_length_b 4.754
_cell_length_c 16.710
_cell_angle_alpha 90.00
_cell_angle_beta 90.00
_cell_angle_gamma 90.00
loop_
_atom_site_label
_atom_site_fract_x
_atom_site_fract_y
_atom_site_fract_z
_atom_site_occupancy
Ca1 0.000 0.000 0.000 1
Mg1 0.000 0.000 0.249 1
Hg1 0.000 0.000 0.500 1
Hg2 0.000 0.500 0.138 1
```

The 6 most intense peaks (2θ = 10–90°), low angle first:
2θ/deg  I (rel.)  h k l
21.3  15  0 0 4
26.5  22  1 1 0
34.2  100  1 1 4
37.9  41  2 0 0
58.9  17  2 0 8
66.1  30  3 1 4

---

(5)
# CaNdMgHg
Simulated X-ray powder pattern, Cu Ka. Input: a DFT-relaxed cell (PBE, Alexandria).
Kinematic intensities with the Lorentz-polarization factor, no thermal factor.

Structural model:
```
data_CaNdMgHg
_chemical_formula_sum 'Ca1 Nd1 Mg1 Hg1'
_symmetry_space_group_name_H-M 'P 4 m m'
_symmetry_Int_Tables_number 99
_symmetry_space_group_name_Hall 'P 4 -2'
_cell_length_a 3.886
_cell_length_b 3.886
_cell_length_c 7.658
_cell_angle_alpha 90.00
_cell_angle_beta 90.00
_cell_angle_gamma 90.00
loop_
_atom_site_label
_atom_site_fract_x
_atom_site_fract_y
_atom_site_fract_z
_atom_site_occupancy
Ca1 0.000 0.000 0.000 1
Nd1 0.000 0.000 0.481 1
Mg1 0.500 0.500 0.737 1
Hg1 0.500 0.500 0.244 1
```

The 6 most intense peaks (2θ = 10–90°), low angle first:
2θ/deg  I (rel.)  h k l
11.6  73  0 0 1
25.7  39  1 0 1
32.6  51  1 1 0
32.8  100  1 0 2
34.7  23  1 1 1
58.3  38  2 1 2

---

(6)
# Ca2Mg5Sn3Hg2
Simulated X-ray powder pattern, Cu Ka. Input: a DFT-relaxed cell (PBE, Alexandria).
Kinematic intensities with the Lorentz-polarization factor, no thermal factor.

Structural model:
```
data_Ca2Mg5Sn3Hg2
_chemical_formula_sum 'Ca4 Mg10 Sn6 Hg4'
_symmetry_space_group_name_H-M 'I 4/m m m'
_symmetry_Int_Tables_number 139
_symmetry_space_group_name_Hall '-I 4 2'
_cell_length_a 4.456
_cell_length_b 4.456
_cell_length_c 31.369
_cell_angle_alpha 90.00
_cell_angle_beta 90.00
_cell_angle_gamma 90.00
loop_
_atom_site_label
_atom_site_fract_x
_atom_site_fract_y
_atom_site_fract_z
_atom_site_occupancy
Ca1 0.000 0.000 0.220 1
Mg1 0.000 0.000 0.000 1
Mg2 0.000 0.500 0.072 1
Sn1 0.000 0.000 0.336 1
Sn2 0.000 0.000 0.500 1
Hg1 0.000 0.000 0.127 1
```

The 6 most intense peaks (2θ = 10–90°), low angle first:
2θ/deg  I (rel.)  h k l
11.3  79  0 0 4
24.5  74  1 0 5
28.3  100  1 1 0
32.6  54  1 0 9
36.6  53  1 1 8
40.5  62  2 0 0